The following is a computed powder X-ray diffraction pattern of InMoHSeO7. It was derived from a GGA+U-relaxed structure, using Cu Kα, 1.54184 Å.
Neutral-atom scattering factors, no anomalous dispersion.

Main lines, by angle (15° ≤ 2θ ≤ 90°):
d_spacing	2theta	I_rel
4.366	20.34	67
3.385	26.33	100
3.322	26.84	72
3.204	27.84	87
3.123	28.59	52
3.092	28.87	46
2.731	32.79	55
1.923	47.26	35

Cell: 10.7368 10.7368 14.2812 Å, 130.18 130.18 30.58°
Fractional positions:
In  0.0877  0.3830  0.3735
In  0.3830  0.0877  0.8735
In  0.6170  0.9123  0.1265
In  0.9123  0.6170  0.6265
Mo  0.0381  0.7602  0.0935
Mo  0.2398  0.9619  0.4065
Mo  0.7602  0.0381  0.5935
Mo  0.9619  0.2398  0.9065
H  0.2523  0.6879  0.7671
H  0.3121  0.7477  0.7329
H  0.6879  0.2523  0.2671
H  0.7477  0.3121  0.2329
Se  0.2294  0.5284  0.3218
Se  0.4716  0.7706  0.1782
Se  0.5284  0.2294  0.8218
Se  0.7706  0.4716  0.6782
O  0.0014  0.2801  0.7864
O  0.0074  0.1125  0.9740
O  0.0898  0.2849  0.4739
O  0.1049  0.4517  0.2745
O  0.1125  0.0074  0.4740
O  0.1795  0.8205  0.7500
O  0.2403  0.4411  0.0090
O  0.2619  0.4870  0.7560
O  0.2801  0.0014  0.2864
O  0.2836  0.7164  0.2500
O  0.2849  0.0898  0.9739
O  0.4411  0.2403  0.5090
O  0.4517  0.1049  0.7745
O  0.4870  0.2619  0.2560
O  0.5130  0.7381  0.7440
O  0.5483  0.8951  0.2255
O  0.5589  0.7597  0.4910
O  0.7151  0.9102  0.0261
O  0.7164  0.2836  0.7500
O  0.7199  0.9986  0.7136
O  0.7381  0.5130  0.2440
O  0.7597  0.5589  0.9910
O  0.8205  0.1795  0.2500
O  0.8875  0.9926  0.5260
O  0.8951  0.5483  0.7255
O  0.9102  0.7151  0.5261
O  0.9926  0.8875  0.0260
O  0.9986  0.7199  0.2136